Diffraction record for SrMg6Co. The PXRD pattern is calculated, not measured: it uses a cell relaxed with PBE and CuKα.
Neutral-atom scattering factors, no anomalous dispersion.

Crystal structure
```
SrMg6Co
1.0
4.9113 0.0000 0.0000
0.0000 6.0459 0.0000
0.0000 0.0000 13.2219
Sr Mg Co
2 12 2
direct
0.0000 0.0000 0.0000 Sr
0.0000 0.5000 0.5000 Sr
0.0000 0.2447 0.7438 Mg
0.0000 0.2553 0.2438 Mg
0.0000 0.7447 0.2438 Mg
0.0000 0.7553 0.7438 Mg
0.5000 0.0000 0.1706 Mg
0.5000 0.0000 0.5925 Mg
0.5000 0.2349 0.3789 Mg
0.5000 0.2651 0.8789 Mg
0.5000 0.5000 0.0925 Mg
0.5000 0.5000 0.6706 Mg
0.5000 0.7349 0.8789 Mg
0.5000 0.7651 0.3789 Mg
0.0000 0.0000 0.4044 Co
0.0000 0.5000 0.9044 Co
```

Peak list (8 most intense, 2θ from 15° to 90°, by intensity)
| 2θ/deg | d/Å | intensity |
| --- | --- | --- |
| 37.5 | 2.399 | 100 |
| 32.6 | 2.745 | 79 |
| 31.0 | 2.883 | 70 |
| 36.6 | 2.456 | 47 |
| 37.1 | 2.423 | 37 |
| 18.1 | 4.911 | 29 |
| 53.1 | 1.725 | 25 |
| 25.0 | 3.561 | 24 |